Entry 1:
Starting from DFT lattice parameters and positions (PBE), the XRD peak list of Sm6Er2Tm3In was simulated for copper Kα.
Neutral-atom scattering factors, no anomalous dispersion.

Crystal structure
Lattice parameters (Å, degrees): 6.1278 10.6242 11.6604 90.00 100.14 90.00
Space group C2/m (No. 12)
Asymmetric unit:
Sm 0.2452 0.0000 0.2502 x4
Sm 0.2471 0.1643 0.7487 x8
Er 0.0000 0.3336 0.5000 x4
Tm 0.0000 0.1674 0.0000 x4
Tm 0.0000 0.5000 0.0000 x2
In 0.0000 0.0000 0.5000 x2

Main lines, low angle first (10° ≤ 2θ ≤ 90°):
(hkl), two_theta, I_rel
1 3 1, 31.0, 100.0
0 0 4, 31.2, 32.8
2 0 2, 36.0, 67.1
0 6 0, 51.6, 23.9
1 3 5, 51.9, 23.6
4 0 0, 61.5, 23.5

Entry 2:
Starting from DFT lattice parameters and positions (PBE), the XRD peak list of TmSc2Zn2 was simulated for copper Kα.
Neutral-atom scattering factors, no anomalous dispersion.

Crystal structure
Lattice parameters (Å, degrees): 3.4291 4.8976 12.6786 90.00 97.76 90.00
Space group P2_1/m (No. 11)
Asymmetric unit:
Tm 0.1449 0.2500 0.2903 x2
Sc 0.0463 0.7500 0.0934 x2
Sc 0.2343 0.7500 0.4683 x2
Zn 0.3593 0.2500 0.7183 x2
Zn 0.4544 0.7500 0.9081 x2

Main lines, low angle first (10° ≤ 2θ ≤ 90°):
(hkl), two_theta, I_rel
0 0 2, 14.1, 19.3
0 1 1, 19.5, 11.7
0 0 5, 35.7, 17.9
0 2 0, 36.7, 100.0
0 2 5, 52.2, 11.8
1 3 2, 66.0, 12.3

Entry 3:
Starting from DFT lattice parameters and positions (PBE), the XRD peak list of PrHoSe was simulated for copper Kα.
Neutral-atom scattering factors, no anomalous dispersion.

Crystal structure
Lattice parameters (Å, degrees): 8.7746 10.8240 7.6281 90.00 90.00 90.00
Space group Cmce (No. 64)
Asymmetric unit:
Pr 0.2011 0.0000 0.0000 x8
Ho 0.0000 0.1998 0.3355 x8
Se 0.0000 0.0669 0.6935 x8

Main lines, low angle first (10° ≤ 2θ ≤ 90°):
(hkl), two_theta, I_rel
2 2 0, 26.1, 90.3
1 1 2, 26.8, 59.4
2 0 2, 31.1, 100.0
3 1 1, 33.9, 66.5
2 4 1, 40.9, 74.4
3 3 3, 54.1, 54.3